# Pr2Re2B2C
Theoretical PXRD pattern, Cu Kα (λ = 1.5418 Å). Input: the GGA-PBE geometry in Alexandria.

Structure:
```
data_Pr2Re2B2C
_chemical_formula_sum 'Pr4 Re4 B4 C2'
_space_group_name_H-M_alt 'C 1 2/m 1'
_space_group_IT_number 12
_space_group_name_Hall '-C 2y'
_cell_length_a 11.052
_cell_length_b 3.742
_cell_length_c 6.909
_cell_angle_alpha 90.00
_cell_angle_beta 124.14
_cell_angle_gamma 90.00
loop_
_atom_site_label
_atom_site_type_symbol
_atom_site_fract_x
_atom_site_fract_y
_atom_site_fract_z
Pr1 Pr 0.073 0.000 0.330
Re1 Re 0.201 0.500 0.087
B1 B 0.191 0.500 0.757
C1 C 0.000 0.500 0.000
```

Peak list (6 most intense, 2θ = 5–70°, low angle first)
| 2θ (°) | Rel. int. |
| --- | --- |
| 15.50 | 38 |
| 27.12 | 45 |
| 31.15 | 77 |
| 33.76 | 30 |
| 34.16 | 100 |
| 36.24 | 98 |

***

# Pu5B2C5
Theoretical PXRD pattern, Cu Kα (λ = 1.5418 Å). Input: the GGA-PBE geometry in Alexandria.

Structure:
```
data_Pu5B2C5
_chemical_formula_sum 'Pu10 B4 C10'
_space_group_name_H-M_alt 'C 1 2/m 1'
_space_group_IT_number 12
_space_group_name_Hall '-C 2y'
_cell_length_a 13.135
_cell_length_b 3.074
_cell_length_c 9.626
_cell_angle_alpha 90.00
_cell_angle_beta 125.71
_cell_angle_gamma 90.00
loop_
_atom_site_label
_atom_site_type_symbol
_atom_site_fract_x
_atom_site_fract_y
_atom_site_fract_z
Pu1 Pu 0.000 0.000 0.000
Pu2 Pu 0.101 0.500 0.424
Pu3 Pu 0.154 0.500 0.801
B1 B 0.194 0.500 0.242
C1 C 0.000 0.000 0.500
C2 C 0.175 0.500 0.063
C3 C 0.193 0.000 0.312
```

Peak list (6 most intense, 2θ = 5–70°, low angle first)
| 2θ (°) | Rel. int. |
| --- | --- |
| 28.00 | 100 |
| 28.37 | 63 |
| 30.58 | 75 |
| 35.00 | 48 |
| 35.53 | 64 |
| 38.73 | 64 |

***

# Pu4B3C5
Theoretical PXRD pattern, Cu Kα (λ = 1.5418 Å). Input: the GGA-PBE geometry in Alexandria.

Structure:
```
data_Pu4B3C5
_chemical_formula_sum 'Pu8 B6 C10'
_space_group_name_H-M_alt 'C 1 2/m 1'
_space_group_IT_number 12
_space_group_name_Hall '-C 2y'
_cell_length_a 10.498
_cell_length_b 3.578
_cell_length_c 8.505
_cell_angle_alpha 90.00
_cell_angle_beta 107.76
_cell_angle_gamma 90.00
loop_
_atom_site_label
_atom_site_type_symbol
_atom_site_fract_x
_atom_site_fract_y
_atom_site_fract_z
Pu1 Pu 0.101 0.000 0.416
Pu2 Pu 0.231 0.500 0.143
B1 B 0.000 0.000 0.000
B2 B 0.019 0.500 0.828
C1 C 0.000 0.500 0.000
C2 C 0.095 0.500 0.708
C3 C 0.200 0.500 0.639
```

Peak list (6 most intense, 2θ = 5–70°, low angle first)
| 2θ (°) | Rel. int. |
| --- | --- |
| 23.59 | 67 |
| 27.61 | 69 |
| 32.53 | 60 |
| 32.78 | 35 |
| 36.01 | 100 |
| 36.40 | 97 |

***

# PuBRu2C
Theoretical PXRD pattern, Cu Kα (λ = 1.5418 Å). Input: the GGA-PBE geometry in Alexandria.

Structure:
```
data_PuBRu2C
_chemical_formula_sum 'Pu4 B4 Ru8 C4'
_space_group_name_H-M_alt 'C m c m'
_space_group_IT_number 63
_space_group_name_Hall '-C 2c 2'
_cell_length_a 3.583
_cell_length_b 10.888
_cell_length_c 6.947
_cell_angle_alpha 90.00
_cell_angle_beta 90.00
_cell_angle_gamma 90.00
loop_
_atom_site_label
_atom_site_type_symbol
_atom_site_fract_x
_atom_site_fract_y
_atom_site_fract_z
Pu1 Pu 0.000 0.050 0.250
B1 B 0.000 0.226 0.750
Ru1 Ru 0.000 0.328 0.063
C1 C 0.000 0.500 0.000
```

Peak list (6 most intense, 2θ = 5–70°, low angle first)
| 2θ (°) | Rel. int. |
| --- | --- |
| 29.22 | 37 |
| 30.53 | 57 |
| 35.20 | 68 |
| 35.42 | 56 |
| 36.98 | 100 |
| 37.58 | 37 |

***

# RbBC
Theoretical PXRD pattern, Cu Kα (λ = 1.5418 Å). Input: the GGA-PBE geometry in Alexandria.

Structure:
```
data_RbBC
_chemical_formula_sum 'Rb8 B8 C8'
_space_group_name_H-M_alt 'C m c e'
_space_group_IT_number 64
_space_group_name_Hall '-C 2ac 2'
_cell_length_a 19.070
_cell_length_b 5.431
_cell_length_c 5.432
_cell_angle_alpha 90.00
_cell_angle_beta 90.00
_cell_angle_gamma 90.00
loop_
_atom_site_label
_atom_site_type_symbol
_atom_site_fract_x
_atom_site_fract_y
_atom_site_fract_z
Rb1 Rb 0.121 0.000 0.000
B1 B 0.000 0.141 0.359
C1 C 0.000 0.156 0.656
```

Peak list (6 most intense, 2θ = 5–70°, low angle first)
| 2θ (°) | Rel. int. |
| --- | --- |
| 9.27 | 60 |
| 18.61 | 57 |
| 23.63 | 100 |
| 27.13 | 93 |
| 33.10 | 78 |
| 38.14 | 77 |

***

# RbSrB6C6
Theoretical PXRD pattern, Cu Kα (λ = 1.5418 Å). Input: the GGA-PBE geometry in Alexandria.

Structure:
```
data_RbSrB6C6
_chemical_formula_sum 'Rb1 Sr1 B6 C6'
_space_group_name_H-M_alt 'P m -3'
_space_group_IT_number 200
_space_group_name_Hall '-P 2 2 3'
_cell_length_a 4.918
_cell_length_b 4.918
_cell_length_c 4.918
_cell_angle_alpha 90.00
_cell_angle_beta 90.00
_cell_angle_gamma 90.00
loop_
_atom_site_label
_atom_site_type_symbol
_atom_site_fract_x
_atom_site_fract_y
_atom_site_fract_z
Rb1 Rb 0.000 0.000 0.000
Sr1 Sr 0.500 0.500 0.500
B1 B 0.000 0.249 0.500
C1 C 0.000 0.500 0.255
```

Peak list (6 most intense, 2θ = 5–70°, low angle first)
| 2θ (°) | Rel. int. |
| --- | --- |
| 25.61 | 96 |
| 36.54 | 48 |
| 45.16 | 100 |
| 52.63 | 15 |
| 59.43 | 21 |
| 65.77 | 2 |